No. 1
Calculated powder diffraction line list of Rb3YCl6 for λ = 1.5418 Å (Cu Kα), from DFT lattice parameters and positions (PBE).

Unit cell a=26.181 b=8.022 c=13.073 alpha=90.00 beta=99.51 gamma=90.00
Space group C2/c (No. 15)
Inequivalent atoms, fractional coordinates:
Rb  0.050  0.245  0.433
Rb  0.153  0.185  0.146
Rb  0.163  0.312  0.805
Y  0.000  0.292  0.750
Y  0.250  0.250  0.500
Cl  0.056  0.280  0.937
Cl  0.060  0.065  0.681
Cl  0.061  0.462  0.204
Cl  0.170  0.055  0.423
Cl  0.180  0.471  0.534
Cl  0.249  0.114  0.687

Largest 12 diffraction maxima, sorted by position, 10° ≤ 2θ ≤ 80°:
- hkl 5 1 -1, 2θ = 20.65°, d = 4.301 Å, I 24
- hkl 0 2 0, 2θ = 22.16°, d = 4.011 Å, I 26
- hkl 5 1 1, 2θ = 22.49°, d = 3.953 Å, I 64
- hkl 1 1 -3, 2θ = 23.23°, d = 3.829 Å, I 100
- hkl 8 0 0, 2θ = 27.66°, d = 3.225 Å, I 28
- hkl 6 2 -1, 2θ = 30.47°, d = 2.933 Å, I 35
- hkl 4 2 2, 2θ = 30.73°, d = 2.909 Å, I 27
- hkl 5 1 3, 2θ = 31.26°, d = 2.861 Å, I 33
- hkl 6 2 -2, 2θ = 32.06°, d = 2.792 Å, I 87
- hkl 4 0 4, 2θ = 33.05°, d = 2.710 Å, I 30
- hkl 10 0 0, 2θ = 34.74°, d = 2.582 Å, I 26
- hkl 2 2 -6, 2θ = 47.49°, d = 1.915 Å, I 29

***

No. 2
Calculated powder diffraction line list of Li3Bi2P3O12 for λ = 1.5418 Å (Cu Kα), from DFT lattice parameters and positions (PBE).

Unit cell a=15.108 b=9.318 c=9.254 alpha=90.00 beta=121.44 gamma=90.00
Space group C2/c (No. 15)
Inequivalent atoms, fractional coordinates:
Li  0.000  0.108  0.250
Li  0.181  0.359  0.290
Bi  0.092  0.245  0.643
P  0.000  0.417  0.250
P  0.145  0.102  0.076
O  0.053  0.126  0.102
O  0.060  0.495  0.686
O  0.086  0.319  0.392
O  0.106  0.133  0.888
O  0.184  0.057  0.618
O  0.233  0.205  0.201

Largest 12 diffraction maxima, sorted by position, 10° ≤ 2θ ≤ 80°:
- hkl 2 0 0, 2θ = 13.74°, d = 6.445 Å, I 38
- hkl 1 1 1, 2θ = 18.58°, d = 4.776 Å, I 100
- hkl 0 2 0, 2θ = 19.05°, d = 4.659 Å, I 63
- hkl 2 0 -2, 2θ = 19.29°, d = 4.601 Å, I 59
- hkl 3 1 -1, 2θ = 20.05°, d = 4.429 Å, I 72
- hkl 2 2 -2, 2θ = 27.24°, d = 3.274 Å, I 42
- hkl 3 1 -3, 2θ = 30.69°, d = 2.914 Å, I 39
- hkl 4 2 -2, 2θ = 31.57°, d = 2.834 Å, I 32
- hkl 5 1 -1, 2θ = 31.86°, d = 2.809 Å, I 46
- hkl 1 3 1, 2θ = 33.03°, d = 2.712 Å, I 56
- hkl 3 3 -1, 2θ = 33.88°, d = 2.646 Å, I 42
- hkl 6 2 0, 2θ = 46.55°, d = 1.951 Å, I 35

***

No. 3
Calculated powder diffraction line list of TaNiP for λ = 1.5418 Å (Cu Kα), from DFT lattice parameters and positions (PBE).

Unit cell a=6.110 b=3.590 c=7.115 alpha=90.00 beta=90.00 gamma=90.00
Space group Pnma (No. 62)
Inequivalent atoms, fractional coordinates:
Ta  0.024  0.250  0.167
Ni  0.147  0.250  0.567
P  0.221  0.750  0.375

Largest 12 diffraction maxima, sorted by position, 10° ≤ 2θ ≤ 80°:
- hkl 1 0 1, 2θ = 19.15°, d = 4.635 Å, I 15
- hkl 0 1 1, 2θ = 27.83°, d = 3.205 Å, I 32
- hkl 2 0 0, 2θ = 29.23°, d = 3.055 Å, I 19
- hkl 1 1 2, 2θ = 38.55°, d = 2.335 Å, I 86
- hkl 2 1 0, 2θ = 38.70°, d = 2.327 Å, I 13
- hkl 2 0 2, 2θ = 38.86°, d = 2.318 Å, I 12
- hkl 1 0 3, 2θ = 40.81°, d = 2.211 Å, I 100
- hkl 3 0 1, 2θ = 46.37°, d = 1.958 Å, I 15
- hkl 0 2 0, 2θ = 50.86°, d = 1.795 Å, I 20
- hkl 1 2 3, 2θ = 67.17°, d = 1.394 Å, I 16
- hkl 0 1 5, 2θ = 71.28°, d = 1.323 Å, I 15
- hkl 3 1 4, 2θ = 75.78°, d = 1.255 Å, I 13

***

No. 4
Calculated powder diffraction line list of CaSiPt for λ = 1.5418 Å (Cu Kα), from DFT lattice parameters and positions (PBE).

Unit cell a=5.943 b=5.882 c=7.739 alpha=90.00 beta=117.25 gamma=90.00
Space group P2_1/c (No. 14)
Inequivalent atoms, fractional coordinates:
Ca  0.204  0.129  0.386
Si  0.233  0.621  0.553
Pt  0.378  0.609  0.308

Largest 12 diffraction maxima, sorted by position, 10° ≤ 2θ ≤ 80°:
- hkl 1 0 0, 2θ = 16.78°, d = 5.284 Å, I 100
- hkl 1 1 -1, 2θ = 21.89°, d = 4.060 Å, I 94
- hkl 1 1 0, 2θ = 22.62°, d = 3.931 Å, I 38
- hkl 0 0 2, 2θ = 25.90°, d = 3.440 Å, I 31
- hkl 1 1 -2, 2θ = 28.05°, d = 3.181 Å, I 57
- hkl 0 2 1, 2θ = 33.13°, d = 2.704 Å, I 99
- hkl 2 1 -1, 2θ = 33.89°, d = 2.645 Å, I 61
- hkl 2 1 -2, 2θ = 35.45°, d = 2.533 Å, I 37
- hkl 1 0 2, 2θ = 37.14°, d = 2.420 Å, I 46
- hkl 2 1 0, 2θ = 37.31°, d = 2.410 Å, I 34
- hkl 1 1 -3, 2θ = 38.10°, d = 2.362 Å, I 64
- hkl 1 2 1, 2θ = 40.10°, d = 2.249 Å, I 77